Calculated X-ray diffraction stick pattern of Sr5Ca4Mg2 for Cu Ka, from a crystal structure in Alexandria, relaxed with GGA-PBE.
Peak positions follow from Bragg's law for the DFT cell and can differ from measured ones.

Top 12 peaks for 5 to 70 degrees two-theta, sorted by position:
Position (°2θ)  Rel. int.  h k l
26.01  22  2 5 0
26.25  28  3 1 0
26.60  28  0 4 1
27.12  31  3 2 0
27.99  100  1 4 1
28.57  43  1 7 0
28.79  81  2 2 1
29.10  41  2 6 0
30.10  26  2 3 1
30.39  28  1 5 1
43.85  23  0 0 2
46.12  26  1 10 1

Structure:
Lattice parameters (Å, degrees): 10.298 22.934 4.130 90.00 90.00 90.00
Sites, in units of the cell vectors:
Sr 0.000 0.000 0.000
Sr 0.131 0.424 0.000
Sr 0.235 0.226 0.000
Sr 0.265 0.726 0.000
Sr 0.369 0.924 0.000
Sr 0.500 0.500 0.000
Sr 0.631 0.076 0.000
Sr 0.735 0.274 0.000
Sr 0.765 0.774 0.000
Sr 0.869 0.576 0.000
Ca 0.068 0.848 0.500
Ca 0.209 0.577 0.500
Ca 0.291 0.077 0.500
Ca 0.432 0.348 0.500
Ca 0.568 0.652 0.500
Ca 0.709 0.923 0.500
Ca 0.791 0.423 0.500
Ca 0.932 0.152 0.500
Mg 0.016 0.306 0.500
Mg 0.484 0.806 0.500
Mg 0.516 0.194 0.500
Mg 0.984 0.694 0.500